(1)
Calculated XRD peak list of Fe3B for Cu Kα X-rays, from DFT lattice parameters and positions (GGA-PBE).
No peak broadening, texture or thermal motion is included.

The 6 most intense peaks (2θ = 10–80°), in order of rising 2θ:
- 37.8 deg, I = 92
- 43.1 deg, I = 100
- 44.8 deg, I = 78
- 45.9 deg, I = 94
- 46.9 deg, I = 79
- 55.1 deg, I = 60

```
data_Fe3B
_chemical_formula_sum 'Fe12 B4'
_symmetry_space_group_name_H-M 'P 1'
_symmetry_Int_Tables_number 1
_symmetry_space_group_name_Hall 'P 1'
_cell_length_a 5.4062
_cell_length_b 6.6614
_cell_length_c 4.3635
_cell_angle_alpha 90.00
_cell_angle_beta 90.00
_cell_angle_gamma 90.00
loop_
_atom_site_label
_atom_site_type_symbol
_atom_site_fract_x
_atom_site_fract_y
_atom_site_fract_z
Fe1 Fe 0.0201 0.2500 0.1180
Fe2 Fe 0.1758 0.0560 0.6486
Fe3 Fe 0.1758 0.4440 0.6486
Fe4 Fe 0.3242 0.5560 0.1486
Fe5 Fe 0.3242 0.9440 0.1486
Fe6 Fe 0.4799 0.7500 0.6180
Fe7 Fe 0.5201 0.2500 0.3820
Fe8 Fe 0.6758 0.0560 0.8514
Fe9 Fe 0.6758 0.4440 0.8514
Fe10 Fe 0.8242 0.5560 0.3514
Fe11 Fe 0.8242 0.9440 0.3514
Fe12 Fe 0.9799 0.7500 0.8820
B1 B 0.1180 0.7500 0.4255
B2 B 0.3820 0.2500 0.9255
B3 B 0.6180 0.7500 0.0745
B4 B 0.8820 0.2500 0.5745
```

***

(2)
Calculated XRD peak list of Ho4CoSn8 for Cu Kα X-rays, from DFT lattice parameters and positions (GGA-PBE).
No peak broadening, texture or thermal motion is included.

The 6 most intense peaks (2θ = 10–80°), in order of rising 2θ:
- 32.1 deg, I = 18
- 32.9 deg, I = 100
- 40.7 deg, I = 18
- 41.2 deg, I = 17
- 59.3 deg, I = 12
- 69.2 deg, I = 12

```
data_Ho4CoSn8
_chemical_formula_sum 'Ho4 Co1 Sn8'
_symmetry_space_group_name_H-M 'P 1'
_symmetry_Int_Tables_number 1
_symmetry_space_group_name_Hall 'P 1'
_cell_length_a 4.3832
_cell_length_b 4.4340
_cell_length_c 16.7088
_cell_angle_alpha 90.00
_cell_angle_beta 90.00
_cell_angle_gamma 90.00
loop_
_atom_site_label
_atom_site_type_symbol
_atom_site_fract_x
_atom_site_fract_y
_atom_site_fract_z
Ho1 Ho 0.0000 0.0000 0.0000
Ho2 Ho 0.0000 0.5000 0.4966
Ho3 Ho 0.5000 0.0000 0.1982
Ho4 Ho 0.5000 0.5000 0.7012
Co1 Co 0.5000 0.0000 0.4067
Sn1 Sn 0.0000 0.0000 0.3382
Sn2 Sn 0.0000 0.0000 0.6712
Sn3 Sn 0.0000 0.5000 0.1628
Sn4 Sn 0.0000 0.5000 0.8546
Sn5 Sn 0.5000 0.0000 0.5529
Sn6 Sn 0.5000 0.0000 0.8454
Sn7 Sn 0.5000 0.5000 0.0376
Sn8 Sn 0.5000 0.5000 0.3360
```

***

(3)
Calculated XRD peak list of HoGe2Pd for Cu Kα X-rays, from DFT lattice parameters and positions (GGA-PBE).
No peak broadening, texture or thermal motion is included.

The 6 most intense peaks (2θ = 10–80°), in order of rising 2θ:
- 33.3 deg, I = 100
- 34.3 deg, I = 74
- 38.6 deg, I = 24
- 38.9 deg, I = 29
- 40.9 deg, I = 20
- 41.6 deg, I = 43

```
data_HoGe2Pd
_chemical_formula_sum 'Ho4 Ge8 Pd4'
_symmetry_space_group_name_H-M 'P 1'
_symmetry_Int_Tables_number 1
_symmetry_space_group_name_Hall 'P 1'
_cell_length_a 9.5372
_cell_length_b 9.5372
_cell_length_c 9.5372
_cell_angle_alpha 153.70
_cell_angle_beta 124.88
_cell_angle_gamma 62.07
loop_
_atom_site_label
_atom_site_type_symbol
_atom_site_fract_x
_atom_site_fract_y
_atom_site_fract_z
Ho1 Ho 0.2030 0.2030 0.0000
Ho2 Ho 0.2382 0.0000 0.2382
Ho3 Ho 0.7618 0.0000 0.7618
Ho4 Ho 0.7970 0.7970 0.0000
Ge1 Ge 0.0743 0.5743 0.5000
Ge2 Ge 0.1511 0.8018 0.3493
Ge3 Ge 0.4256 0.4256 0.0000
Ge4 Ge 0.4525 0.8018 0.6507
Ge5 Ge 0.5475 0.1982 0.3493
Ge6 Ge 0.5744 0.5744 0.0000
Ge7 Ge 0.8489 0.1982 0.6507
Ge8 Ge 0.9257 0.4257 0.5000
Pd1 Pd 0.1026 0.3530 0.7496
Pd2 Pd 0.3966 0.6470 0.7496
Pd3 Pd 0.6034 0.3530 0.2504
Pd4 Pd 0.8974 0.6470 0.2504
```

***

(4)
Calculated XRD peak list of RbLi2H6N3 for Cu Kα X-rays, from DFT lattice parameters and positions (GGA-PBE).
No peak broadening, texture or thermal motion is included.

The 6 most intense peaks (2θ = 10–80°), in order of rising 2θ:
- 16.3 deg, I = 29
- 20.1 deg, I = 28
- 21.0 deg, I = 100
- 30.9 deg, I = 37
- 31.5 deg, I = 45
- 33.3 deg, I = 27

```
data_RbLi2H6N3
_chemical_formula_sum 'Rb2 Li4 H12 N6'
_symmetry_space_group_name_H-M 'P 1'
_symmetry_Int_Tables_number 1
_symmetry_space_group_name_Hall 'P 1'
_cell_length_a 5.3762
_cell_length_b 6.9818
_cell_length_c 7.0090
_cell_angle_alpha 101.61
_cell_angle_beta 90.13
_cell_angle_gamma 90.17
loop_
_atom_site_label
_atom_site_type_symbol
_atom_site_fract_x
_atom_site_fract_y
_atom_site_fract_z
Rb1 Rb 0.0000 0.0000 0.0000
Rb2 Rb 0.4990 0.4210 0.5594
Li1 Li 0.2457 0.5708 0.1446
Li2 Li 0.2546 0.8546 0.4330
Li3 Li 0.7523 0.5712 0.1473
Li4 Li 0.7554 0.8583 0.4328
H1 H 0.0016 0.4572 0.3638
H2 H 0.0017 0.6450 0.5337
H3 H 0.0033 0.3951 0.8347
H4 H 0.0122 0.1963 0.3808
H5 H 0.4957 0.0266 0.7391
H6 H 0.4980 0.2176 0.1732
H7 H 0.5010 0.9654 0.2068
H8 H 0.5039 0.7756 0.0392
H9 H 0.5082 0.8067 0.7716
H10 H 0.5124 0.2964 0.9739
H11 H 0.9888 0.6142 0.8040
H12 H 0.9972 0.1580 0.5977
N1 N 0.0006 0.6077 0.3837
N2 N 0.0086 0.0836 0.4553
N3 N 0.4931 0.3453 0.1218
N4 N 0.5007 0.8151 0.1886
N5 N 0.5070 0.8845 0.6619
N6 N 0.9921 0.5364 0.9133
```

***

(5)
Calculated XRD peak list of NaY3 for Cu Kα X-rays, from DFT lattice parameters and positions (GGA-PBE).
No peak broadening, texture or thermal motion is included.

The 6 most intense peaks (2θ = 10–80°), in order of rising 2θ:
- 30.6 deg, I = 100
- 32.5 deg, I = 21
- 36.9 deg, I = 30
- 50.0 deg, I = 24
- 56.9 deg, I = 16
- 62.6 deg, I = 25

```
data_NaY3
_chemical_formula_sum 'Na2 Y6'
_symmetry_space_group_name_H-M 'P 1'
_symmetry_Int_Tables_number 1
_symmetry_space_group_name_Hall 'P 1'
_cell_length_a 4.8712
_cell_length_b 4.8712
_cell_length_c 11.0058
_cell_angle_alpha 90.00
_cell_angle_beta 90.00
_cell_angle_gamma 90.00
loop_
_atom_site_label
_atom_site_type_symbol
_atom_site_fract_x
_atom_site_fract_y
_atom_site_fract_z
Na1 Na 0.0000 0.0000 0.0000
Na2 Na 0.5000 0.5000 0.5000
Y1 Y 0.0000 0.0000 0.5000
Y2 Y 0.0000 0.5000 0.2500
Y3 Y 0.0000 0.5000 0.7500
Y4 Y 0.5000 0.0000 0.2500
Y5 Y 0.5000 0.0000 0.7500
Y6 Y 0.5000 0.5000 0.0000
```

***

(6)
Calculated XRD peak list of SiO2 for Cu Kα X-rays, from DFT lattice parameters and positions (GGA-PBE).
No peak broadening, texture or thermal motion is included.

The 6 most intense peaks (2θ = 10–80°), in order of rising 2θ:
- 17.5 deg, I = 100
- 18.0 deg, I = 16
- 23.9 deg, I = 16
- 26.3 deg, I = 22
- 27.3 deg, I = 24
- 28.3 deg, I = 13

```
data_SiO2
_chemical_formula_sum 'Si12 O24'
_symmetry_space_group_name_H-M 'P 1'
_symmetry_Int_Tables_number 1
_symmetry_space_group_name_Hall 'P 1'
_cell_length_a 10.9067
_cell_length_b 10.9067
_cell_length_c 10.9067
_cell_angle_alpha 43.34
_cell_angle_beta 43.34
_cell_angle_gamma 43.34
loop_
_atom_site_label
_atom_site_type_symbol
_atom_site_fract_x
_atom_site_fract_y
_atom_site_fract_z
Si1 Si 0.0410 0.3607 0.9507
Si2 Si 0.0493 0.9590 0.6393
Si3 Si 0.1393 0.4590 0.5493
Si4 Si 0.3607 0.9507 0.0410
Si5 Si 0.4507 0.8607 0.5410
Si6 Si 0.4590 0.5493 0.1393
Si7 Si 0.5410 0.4507 0.8607
Si8 Si 0.5493 0.1393 0.4590
Si9 Si 0.6393 0.0493 0.9590
Si10 Si 0.8607 0.5410 0.4507
Si11 Si 0.9507 0.0410 0.3607
Si12 Si 0.9590 0.6393 0.0493
O1 O 0.0000 0.0000 0.5000
O2 O 0.0000 0.5000 0.0000
O3 O 0.0000 0.5000 0.5000
O4 O 0.0059 0.4941 0.7500
O5 O 0.0964 0.7480 0.8230
O6 O 0.1770 0.9036 0.2520
O7 O 0.2480 0.5964 0.3230
O8 O 0.2500 0.9941 0.5059
O9 O 0.2520 0.1770 0.9036
O10 O 0.3230 0.2480 0.5964
O11 O 0.4036 0.6770 0.7520
O12 O 0.4941 0.7500 0.0059
O13 O 0.5000 0.0000 0.0000
O14 O 0.5000 0.0000 0.5000
O15 O 0.5000 0.5000 0.0000
O16 O 0.5059 0.2500 0.9941
O17 O 0.5964 0.3230 0.2480
O18 O 0.6770 0.7520 0.4036
O19 O 0.7480 0.8231 0.0964
O20 O 0.7500 0.0059 0.4941
O21 O 0.7520 0.4036 0.6770
O22 O 0.8230 0.0964 0.7480
O23 O 0.9036 0.2520 0.1770
O24 O 0.9941 0.5059 0.2500
```

***

(7)
Calculated XRD peak list of Mg14SiBiO16 for Cu Kα X-rays, from DFT lattice parameters and positions (GGA-PBE).
No peak broadening, texture or thermal motion is included.

The 6 most intense peaks (2θ = 10–80°), in order of rising 2θ:
- 10.3 deg, I = 92
- 22.4 deg, I = 68
- 35.4 deg, I = 82
- 40.2 deg, I = 81
- 40.8 deg, I = 85
- 42.1 deg, I = 100

```
data_Mg14SiBiO16
_chemical_formula_sum 'Mg14 Si1 Bi1 O16'
_symmetry_space_group_name_H-M 'P 1'
_symmetry_Int_Tables_number 1
_symmetry_space_group_name_Hall 'P 1'
_cell_length_a 4.4221
_cell_length_b 8.5821
_cell_length_c 8.9650
_cell_angle_alpha 90.00
_cell_angle_beta 90.00
_cell_angle_gamma 90.00
loop_
_atom_site_label
_atom_site_type_symbol
_atom_site_fract_x
_atom_site_fract_y
_atom_site_fract_z
Mg1 Mg 0.0000 0.0000 0.0000
Mg2 Mg 0.0000 0.0000 0.5000
Mg3 Mg 0.0000 0.2475 0.2494
Mg4 Mg 0.0000 0.2475 0.7506
Mg5 Mg 0.0000 0.7525 0.2494
Mg6 Mg 0.0000 0.7525 0.7506
Mg7 Mg 0.5000 0.0000 0.2472
Mg8 Mg 0.5000 0.0000 0.7528
Mg9 Mg 0.5000 0.2401 0.5000
Mg10 Mg 0.5000 0.2501 0.0000
Mg11 Mg 0.5000 0.5000 0.2473
Mg12 Mg 0.5000 0.5000 0.7527
Mg13 Mg 0.5000 0.7499 0.0000
Mg14 Mg 0.5000 0.7599 0.5000
Si1 Si 0.0000 0.5000 0.0000
Bi1 Bi 0.0000 0.5000 0.5000
O1 O 0.0000 0.0000 0.2375
O2 O 0.0000 0.0000 0.7625
O3 O 0.0000 0.2230 0.5000
O4 O 0.0000 0.2673 0.0000
O5 O 0.0000 0.5000 0.1836
O6 O 0.0000 0.5000 0.8164
O7 O 0.0000 0.7327 0.0000
O8 O 0.0000 0.7770 0.5000
O9 O 0.5000 0.0000 0.0000
O10 O 0.5000 0.0000 0.5000
O11 O 0.5000 0.2509 0.2473
O12 O 0.5000 0.2509 0.7527
O13 O 0.5000 0.5000 0.0000
O14 O 0.5000 0.5000 0.5000
O15 O 0.5000 0.7491 0.2473
O16 O 0.5000 0.7491 0.7527
```

***

(8)
Calculated XRD peak list of BaSrGdNbO6 for Cu Kα X-rays, from DFT lattice parameters and positions (GGA-PBE).
No peak broadening, texture or thermal motion is included.

The 6 most intense peaks (2θ = 10–80°), in order of rising 2θ:
- 29.5 deg, I = 100
- 42.2 deg, I = 31
- 52.4 deg, I = 40
- 61.2 deg, I = 19
- 69.4 deg, I = 18
- 77.2 deg, I = 6

```
data_BaSrGdNbO6
_chemical_formula_sum 'Ba1 Sr1 Gd1 Nb1 O6'
_symmetry_space_group_name_H-M 'P 1'
_symmetry_Int_Tables_number 1
_symmetry_space_group_name_Hall 'P 1'
_cell_length_a 6.0536
_cell_length_b 6.0536
_cell_length_c 6.0536
_cell_angle_alpha 60.00
_cell_angle_beta 60.00
_cell_angle_gamma 60.00
loop_
_atom_site_label
_atom_site_type_symbol
_atom_site_fract_x
_atom_site_fract_y
_atom_site_fract_z
Ba1 Ba 0.0000 0.0000 0.0000
Sr1 Sr 0.5000 0.5000 0.5000
Gd1 Gd 0.7500 0.7500 0.7500
Nb1 Nb 0.2500 0.2500 0.2500
O1 O 0.0143 0.0143 0.4857
O2 O 0.0143 0.4857 0.0143
O3 O 0.0143 0.4857 0.4857
O4 O 0.4857 0.0143 0.0143
O5 O 0.4857 0.0143 0.4857
O6 O 0.4857 0.4857 0.0143
```

***

(9)
Calculated XRD peak list of Na3Nb for Cu Kα X-rays, from DFT lattice parameters and positions (GGA-PBE).
No peak broadening, texture or thermal motion is included.

The 6 most intense peaks (2θ = 10–80°), in order of rising 2θ:
- 17.1 deg, I = 21
- 20.5 deg, I = 53
- 31.7 deg, I = 100
- 37.8 deg, I = 31
- 52.1 deg, I = 23
- 64.4 deg, I = 23

```
data_Na3Nb
_chemical_formula_sum 'Na6 Nb2'
_symmetry_space_group_name_H-M 'P 1'
_symmetry_Int_Tables_number 1
_symmetry_space_group_name_Hall 'P 1'
_cell_length_a 4.7631
_cell_length_b 4.7631
_cell_length_c 10.3754
_cell_angle_alpha 90.00
_cell_angle_beta 90.00
_cell_angle_gamma 90.00
loop_
_atom_site_label
_atom_site_type_symbol
_atom_site_fract_x
_atom_site_fract_y
_atom_site_fract_z
Na1 Na 0.0000 0.0000 0.0000
Na2 Na 0.0000 0.5000 0.2500
Na3 Na 0.0000 0.5000 0.7500
Na4 Na 0.5000 0.0000 0.2500
Na5 Na 0.5000 0.0000 0.7500
Na6 Na 0.5000 0.5000 0.5000
Nb1 Nb 0.0000 0.0000 0.5000
Nb2 Nb 0.5000 0.5000 0.0000
```

***

(10)
Calculated XRD peak list of PmNi3 for Cu Kα X-rays, from DFT lattice parameters and positions (GGA-PBE).
No peak broadening, texture or thermal motion is included.

The 6 most intense peaks (2θ = 10–80°), in order of rising 2θ:
- 27.5 deg, I = 32
- 35.5 deg, I = 25
- 41.6 deg, I = 100
- 42.7 deg, I = 23
- 77.4 deg, I = 15
- 79.8 deg, I = 14

```
data_PmNi3
_chemical_formula_sum 'Pm2 Ni6'
_symmetry_space_group_name_H-M 'P 1'
_symmetry_Int_Tables_number 1
_symmetry_space_group_name_Hall 'P 1'
_cell_length_a 5.8429
_cell_length_b 5.8429
_cell_length_c 4.2345
_cell_angle_alpha 90.00
_cell_angle_beta 90.00
_cell_angle_gamma 120.00
loop_
_atom_site_label
_atom_site_type_symbol
_atom_site_fract_x
_atom_site_fract_y
_atom_site_fract_z
Pm1 Pm 0.3333 0.6667 0.2500
Pm2 Pm 0.6667 0.3333 0.7500
Ni1 Ni 0.1405 0.2809 0.7500
Ni2 Ni 0.1405 0.8595 0.7500
Ni3 Ni 0.2809 0.1405 0.2500
Ni4 Ni 0.7191 0.8595 0.7500
Ni5 Ni 0.8595 0.1405 0.2500
Ni6 Ni 0.8595 0.7191 0.2500
```

***

(11)
Calculated XRD peak list of Cd3P2 for Cu Kα X-rays, from DFT lattice parameters and positions (GGA-PBE).
No peak broadening, texture or thermal motion is included.

The 6 most intense peaks (2θ = 10–80°), in order of rising 2θ:
- 20.0 deg, I = 51
- 28.5 deg, I = 64
- 35.1 deg, I = 25
- 40.7 deg, I = 100
- 66.8 deg, I = 21
- 74.1 deg, I = 32

```
data_Cd3P2
_chemical_formula_sum 'Cd6 P4'
_symmetry_space_group_name_H-M 'P 1'
_symmetry_Int_Tables_number 1
_symmetry_space_group_name_Hall 'P 1'
_cell_length_a 6.2662
_cell_length_b 6.2662
_cell_length_c 6.2662
_cell_angle_alpha 90.00
_cell_angle_beta 90.00
_cell_angle_gamma 90.00
loop_
_atom_site_label
_atom_site_type_symbol
_atom_site_fract_x
_atom_site_fract_y
_atom_site_fract_z
Cd1 Cd 0.2500 0.2500 0.7500
Cd2 Cd 0.2500 0.7500 0.2500
Cd3 Cd 0.2500 0.7500 0.7500
Cd4 Cd 0.7500 0.2500 0.2500
Cd5 Cd 0.7500 0.2500 0.7500
Cd6 Cd 0.7500 0.7500 0.2500
P1 P 0.0000 0.0000 0.0000
P2 P 0.0000 0.5000 0.5000
P3 P 0.5000 0.0000 0.5000
P4 P 0.5000 0.5000 0.0000
```